Starting from DFT lattice parameters and positions (PBE+U), the PXRD pattern of SrCo2As2O8 was simulated for λ = 1.5418 Å (Cu Kα).

Structural model:
a b c (Å): 4.9864 4.9864 21.9314
angles (deg): 90.00 90.00 120.00
Space group R-3 (No. 148, hexagonal axes)
Inequivalent atoms, fractional coordinates:
Sr: 0.0000 0.0000 0.0000 (multiplicity 3)
Co: 0.0000 0.0000 0.1718 (multiplicity 6)
As: 0.0000 0.0000 0.4192 (multiplicity 6)
O: 0.0000 0.0000 0.3425 (multiplicity 6)
O: 0.0066 0.6559 0.7772 (multiplicity 18)

The 6 most intense peaks (2θ = 10–80°), most intense first:
- 2θ 29.02, rel. 100, hkl 0 1 5
- 2θ 36.02, rel. 87, hkl 1 1 0
- 2θ 35.40, rel. 44, hkl 1 0 7
- 2θ 63.07, rel. 43, hkl 1 1 12
- 2θ 46.90, rel. 29, hkl 2 0 5
- 2θ 64.77, rel. 27, hkl 3 0 0